[1]
Computed XRD peak list
Compound: Cu12HgPt6
Radiation: copper Kα
Structure: a crystal structure in Alexandria, relaxed with PBE

Top 12 peaks for 10 to 90 degrees two-theta, in order of rising 2θ:
2θ = 26.8°, intensity 100; 2θ = 28.8°, intensity 32; 2θ = 33.1°, intensity 24; 2θ = 35.2°, intensity 26; 2θ = 37.1°, intensity 25; 2θ = 42.2°, intensity 76; 2θ = 43.8°, intensity 79; 2θ = 46.7°, intensity 67; 2θ = 48.3°, intensity 26; 2θ = 48.9°, intensity 76; 2θ = 52.4°, intensity 27; 2θ = 85.1°, intensity 29

Crystal structure
a b c (Å): 6.991 6.991 6.991
angles (deg): 106.15 106.15 106.15
Element x y z (fractional)
Cu: 0.000 0.390 0.610
Cu: 0.000 0.610 0.390
Cu: 0.155 0.155 0.401
Cu: 0.155 0.401 0.155
Cu: 0.390 0.000 0.610
Cu: 0.390 0.610 0.000
Cu: 0.401 0.155 0.155
Cu: 0.599 0.845 0.845
Cu: 0.610 0.000 0.390
Cu: 0.610 0.390 0.000
Cu: 0.845 0.599 0.845
Cu: 0.845 0.845 0.599
Hg: 0.500 0.500 0.500
Pt: 0.193 0.803 0.803
Pt: 0.197 0.197 0.807
Pt: 0.197 0.807 0.197
Pt: 0.803 0.193 0.803
Pt: 0.803 0.803 0.193
Pt: 0.807 0.197 0.197



[2]
Computed XRD peak list
Compound: Y2Co3B
Radiation: copper Kα
Structure: a crystal structure in Alexandria, relaxed with PBE

Top 12 peaks for 10 to 90 degrees two-theta, in order of rising 2θ:
2θ = 27.8°, intensity 32; 2θ = 29.1°, intensity 26; 2θ = 34.2°, intensity 79; 2θ = 37.4°, intensity 100; 2θ = 37.8°, intensity 86; 2θ = 41.1°, intensity 52; 2θ = 52.8°, intensity 39; 2θ = 54.6°, intensity 39; 2θ = 58.6°, intensity 17; 2θ = 71.9°, intensity 24; 2θ = 72.5°, intensity 13; 2θ = 74.1°, intensity 17

Crystal structure
a b c (Å): 7.570 7.570 7.570
angles (deg): 155.99 146.30 41.80
Element x y z (fractional)
Y: 0.177 0.177 0.000
Y: 0.823 0.823 0.000
Co: 0.000 0.500 0.500
Co: 0.415 0.915 0.500
Co: 0.585 0.085 0.500
B: 0.500 0.500 0.000



[3]
Computed XRD peak list
Compound: LaIn2Pb2
Radiation: copper Kα
Structure: a crystal structure in Alexandria, relaxed with PBE

Top 12 peaks for 10 to 90 degrees two-theta, in order of rising 2θ:
2θ = 28.2°, intensity 7; 2θ = 31.7°, intensity 100; 2θ = 36.1°, intensity 16; 2θ = 37.1°, intensity 34; 2θ = 52.8°, intensity 22; 2θ = 53.5°, intensity 12; 2θ = 55.0°, intensity 5; 2θ = 62.2°, intensity 11; 2θ = 63.5°, intensity 14; 2θ = 63.7°, intensity 14; 2θ = 66.3°, intensity 11; 2θ = 87.8°, intensity 6

Crystal structure
a b c (Å): 12.660 12.660 4.846
angles (deg): 90.00 90.00 157.98
Element x y z (fractional)
La: 0.142 0.858 0.750
La: 0.858 0.142 0.250
In: 0.042 0.958 0.250
In: 0.455 0.545 0.250
In: 0.545 0.455 0.750
In: 0.958 0.042 0.750
Pb: 0.250 0.750 0.250
Pb: 0.355 0.645 0.750
Pb: 0.645 0.355 0.250
Pb: 0.750 0.250 0.750



[4]
Computed XRD peak list
Compound: PuPF
Radiation: copper Kα
Structure: a crystal structure in Alexandria, relaxed with PBE

Top 12 peaks for 10 to 90 degrees two-theta, in order of rising 2θ:
2θ = 15.9°, intensity 27; 2θ = 22.0°, intensity 39; 2θ = 24.7°, intensity 34; 2θ = 30.8°, intensity 12; 2θ = 31.6°, intensity 100; 2θ = 32.9°, intensity 25; 2θ = 40.9°, intensity 21; 2θ = 41.6°, intensity 25; 2θ = 48.1°, intensity 18; 2θ = 53.5°, intensity 17; 2θ = 54.3°, intensity 10; 2θ = 57.9°, intensity 19

Crystal structure
a b c (Å): 6.218 6.218 7.195
angles (deg): 90.00 90.00 128.02
Element x y z (fractional)
Pu: 0.164 0.836 0.962
Pu: 0.336 0.664 0.462
Pu: 0.664 0.336 0.538
Pu: 0.836 0.164 0.038
P: 0.072 0.928 0.596
P: 0.428 0.572 0.096
P: 0.572 0.428 0.904
P: 0.928 0.072 0.404
F: 0.046 0.454 0.750
F: 0.454 0.046 0.250
F: 0.546 0.954 0.750
F: 0.954 0.546 0.250



[5]
Computed XRD peak list
Compound: Ti3AlPd6
Radiation: copper Kα
Structure: a crystal structure in Alexandria, relaxed with PBE

Top 12 peaks for 10 to 90 degrees two-theta, in order of rising 2θ:
2θ = 27.1°, intensity 34; 2θ = 31.6°, intensity 14; 2θ = 38.0°, intensity 40; 2θ = 39.3°, intensity 72; 2θ = 41.9°, intensity 100; 2θ = 42.2°, intensity 97; 2θ = 43.0°, intensity 47; 2θ = 55.8°, intensity 25; 2θ = 66.0°, intensity 14; 2θ = 73.0°, intensity 12; 2θ = 73.2°, intensity 18; 2θ = 79.5°, intensity 16

Crystal structure
a b c (Å): 4.589 7.420 9.682
angles (deg): 111.11 90.04 90.05
Element x y z (fractional)
Ti: 0.249 0.422 0.286
Ti: 0.250 0.201 0.478
Ti: 0.250 0.846 0.872
Ti: 0.750 0.154 0.128
Ti: 0.750 0.799 0.522
Ti: 0.751 0.578 0.714
Al: 0.249 0.629 0.078
Al: 0.751 0.371 0.922
Pd: 0.250 0.006 0.668
Pd: 0.250 0.008 0.167
Pd: 0.250 0.603 0.575
Pd: 0.250 0.796 0.364
Pd: 0.251 0.234 0.987
Pd: 0.251 0.429 0.789
Pd: 0.749 0.571 0.211
Pd: 0.749 0.766 0.013
Pd: 0.750 0.204 0.636
Pd: 0.750 0.397 0.425
Pd: 0.750 0.992 0.833
Pd: 0.750 0.994 0.332



[6]
Computed XRD peak list
Compound: Ac2Cd5Ge3
Radiation: copper Kα
Structure: a crystal structure in Alexandria, relaxed with PBE

Top 12 peaks for 10 to 90 degrees two-theta, in order of rising 2θ:
2θ = 20.0°, intensity 6; 2θ = 26.0°, intensity 10; 2θ = 30.8°, intensity 100; 2θ = 37.1°, intensity 39; 2θ = 42.5°, intensity 6; 2θ = 45.7°, intensity 12; 2θ = 48.9°, intensity 20; 2θ = 53.4°, intensity 14; 2θ = 57.5°, intensity 7; 2θ = 60.3°, intensity 11; 2θ = 63.0°, intensity 21; 2θ = 87.1°, intensity 7

Crystal structure
a b c (Å): 4.849 4.849 10.876
angles (deg): 90.00 90.00 90.00
Element x y z (fractional)
Ac: 0.000 0.500 0.234
Ac: 0.500 0.000 0.766
Cd: 0.000 0.000 0.500
Cd: 0.000 0.500 0.643
Cd: 0.500 0.000 0.357
Cd: 0.500 0.500 0.000
Cd: 0.500 0.500 0.500
Ge: 0.000 0.000 0.000
Ge: 0.000 0.500 0.889
Ge: 0.500 0.000 0.111



[7]
Computed XRD peak list
Compound: CaInGaCl6
Radiation: copper Kα
Structure: a crystal structure in Alexandria, relaxed with PBE

Top 12 peaks for 10 to 90 degrees two-theta, in order of rising 2θ:
2θ = 15.1°, intensity 11; 2θ = 19.8°, intensity 100; 2θ = 26.3°, intensity 13; 2θ = 29.3°, intensity 32; 2θ = 33.1°, intensity 21; 2θ = 37.2°, intensity 61; 2θ = 42.7°, intensity 29; 2θ = 46.3°, intensity 23; 2θ = 50.4°, intensity 11; 2θ = 57.7°, intensity 12; 2θ = 58.1°, intensity 12; 2θ = 60.8°, intensity 12

Crystal structure
a b c (Å): 6.790 6.790 6.890
angles (deg): 90.00 90.00 120.00
Element x y z (fractional)
Ca: 0.000 0.000 0.000
In: 0.667 0.333 0.500
Ga: 0.333 0.667 0.000
Cl: 0.053 0.371 0.205
Cl: 0.053 0.682 0.795
Cl: 0.318 0.371 0.795
Cl: 0.318 0.947 0.205
Cl: 0.629 0.682 0.205
Cl: 0.629 0.947 0.795



[8]
Computed XRD peak list
Compound: Tb12Dy5Ho
Radiation: copper Kα
Structure: a crystal structure in Alexandria, relaxed with PBE

Top 12 peaks for 10 to 90 degrees two-theta, in order of rising 2θ:
2θ = 30.9°, intensity 100; 2θ = 35.8°, intensity 51; 2θ = 51.6°, intensity 36; 2θ = 61.3°, intensity 36; 2θ = 61.4°, intensity 7; 2θ = 64.4°, intensity 12; 2θ = 75.9°, intensity 4; 2θ = 76.0°, intensity 2; 2θ = 84.1°, intensity 12; 2θ = 84.2°, intensity 6; 2θ = 86.9°, intensity 13; 2θ = 87.0°, intensity 4

Crystal structure
a b c (Å): 10.629 5.014 10.641
angles (deg): 90.00 90.09 90.00
Element x y z (fractional)
Tb: 0.000 0.000 0.167
Tb: 0.000 0.000 0.833
Tb: 0.166 0.500 0.666
Tb: 0.167 0.500 0.000
Tb: 0.333 0.000 0.500
Tb: 0.333 0.000 0.833
Tb: 0.500 0.500 0.333
Tb: 0.500 0.500 0.667
Tb: 0.667 0.000 0.167
Tb: 0.667 0.000 0.500
Tb: 0.833 0.500 0.000
Tb: 0.834 0.500 0.334
Dy: 0.167 0.500 0.333
Dy: 0.333 0.000 0.167
Dy: 0.500 0.500 0.000
Dy: 0.667 0.000 0.833
Dy: 0.833 0.500 0.667
Ho: 0.000 0.000 0.500